This entry pairs a crystal structure of Cs2PaI5F with its simulated powder diffraction line list. Radiation: Cu Kα. Structure: a crystal structure in Alexandria, relaxed with GGA-PBE.
Peak positions follow from Bragg's law for the DFT cell and can differ from measured ones.

Largest 8 diffraction maxima, by angle, 2θ from 10° to 80°:
| d/Å | Rel. int. |
| --- | --- |
| 6.999 | 67.5 |
| 4.229 | 40.3 |
| 3.499 | 97.5 |
| 3.116 | 100.0 |
| 2.878 | 38.5 |
| 2.204 | 37.7 |
| 2.114 | 63.7 |
| 1.865 | 36.6 |

Structure:
```
Cs2PaI5F
1.0
-4.407 4.407 5.756
4.407 -4.407 5.756
4.407 4.407 -5.756
Cs Pa I F
2 1 5 1
Cartesian
4.407 0.000 0.000 Cs
0.000 4.407 0.000 Cs
0.000 0.000 2.851 Pa
2.231 2.231 -2.873 I
2.177 -2.177 2.883 I
-2.177 2.177 2.883 I
2.177 2.177 2.883 I
0.000 0.000 5.882 I
0.000 0.000 0.776 F
```